No. 1
For Sr2GdCu3Pb2O8, a PBE-relaxed structure gives the computed X-ray powder pattern in this record (CuKα).
Peak positions follow from Bragg's law for the DFT cell and can differ from measured ones.

a b c (Å): 3.848 3.848 16.023
angles (deg): 90.00 90.00 90.00
Space group P4/mmm (No. 123)
Unique sites:
1 Sr 0.000 0.000 0.222
2 Gd 0.000 0.000 0.000
3 Cu 0.000 0.000 0.500
4 Cu 0.500 0.500 0.106
5 Pb 0.500 0.500 0.388
6 O 0.000 0.000 0.384
7 O 0.000 0.500 0.094
8 O 0.500 0.500 0.252

Largest 10 diffraction maxima, in order of rising 2θ, 2θ = 10–90°:
hkl, d_spacing, 2theta, I_rel
0 0 2, 8.011, 11.04, 10.5
1 0 1, 3.742, 23.78, 27.7
1 0 4, 2.775, 32.26, 100.0
1 1 0, 2.721, 32.92, 66.4
1 0 6, 2.194, 41.14, 15.7
1 1 5, 2.074, 43.64, 20.9
2 0 0, 1.924, 47.24, 30.6
1 1 8, 1.613, 57.10, 15.3
2 1 4, 1.581, 58.36, 37.9
3 1 0, 1.217, 78.62, 10.8


No. 2
For Gd2Ti12Cu9O36, a PBE-relaxed structure gives the computed X-ray powder pattern in this record (CuKα).
Peak positions follow from Bragg's law for the DFT cell and can differ from measured ones.

a b c (Å): 10.5276 10.5276 6.4653
angles (deg): 90.00 90.00 120.00
Space group P-3 (No. 147)
Unique sites:
1 Gd 0.3333 0.6667 0.3294
2 Ti 0.0000 0.0000 0.5000
3 Ti 0.0000 0.5000 0.5000
4 Ti 0.1572 0.8389 0.1625
5 Ti 0.3333 0.6667 0.8410
6 Cu 0.0000 0.5000 0.0000
7 Cu 0.1683 0.8315 0.6610
8 O 0.0164 0.8518 0.3303
9 O 0.0444 0.7753 0.9108
10 O 0.0745 0.6254 0.2501
11 O 0.1175 0.4103 0.4123
12 O 0.1760 0.6492 0.6464
13 O 0.1924 0.5089 0.0151

Largest 10 diffraction maxima, in order of rising 2θ, 2θ = 10–90°:
hkl, d_spacing, 2theta, I_rel
1 0 1, 5.272, 16.82, 6.7
2 0 1, 3.726, 23.88, 6.9
0 2 2, 2.634, 34.03, 100.0
3 -1 2, 2.356, 38.20, 8.7
0 4 1, 2.150, 42.03, 7.2
4 0 2, 1.863, 48.89, 27.6
2 0 4, 1.523, 60.80, 12.2
6 -4 2, 1.520, 60.95, 36.1
4 2 4, 1.179, 81.68, 7.8
8 -2 2, 1.177, 81.80, 7.7


No. 3
For Gd4Cu5P7, a PBE-relaxed structure gives the computed X-ray powder pattern in this record (CuKα).
Peak positions follow from Bragg's law for the DFT cell and can differ from measured ones.

a b c (Å): 5.304 5.304 19.630
angles (deg): 90.00 90.00 90.00
Space group I-42m (No. 121)
Unique sites:
1 Gd 0.242 0.242 0.383
2 Cu 0.000 0.000 0.000
3 Cu 0.000 0.000 0.251
4 Cu 0.000 0.500 0.250
5 P 0.000 0.000 0.500
6 P 0.000 0.500 0.000
7 P 0.246 0.246 0.173

Largest 10 diffraction maxima, in order of rising 2θ, 2θ = 10–90°:
hkl, d_spacing, 2theta, I_rel
1 1 2, 3.504, 25.42, 66.2
1 1 6, 2.465, 36.44, 38.6
0 0 8, 2.454, 36.62, 20.7
2 0 4, 2.333, 38.59, 100.0
2 2 0, 1.875, 48.55, 29.7
1 1 10, 1.739, 52.63, 15.2
3 1 2, 1.653, 55.59, 15.7
3 1 6, 1.493, 62.19, 15.9
2 2 8, 1.490, 62.32, 16.7
4 2 4, 1.153, 83.93, 19.7


No. 4
For GdZrCuPt, a PBE-relaxed structure gives the computed X-ray powder pattern in this record (CuKα).
Peak positions follow from Bragg's law for the DFT cell and can differ from measured ones.

a b c (Å): 6.840 6.840 6.840
angles (deg): 90.00 90.00 90.00
Space group F-43m (No. 216)
Unique sites:
1 Gd 0.000 0.000 0.000
2 Zr 0.000 0.000 0.500
3 Cu 0.250 0.250 0.250
4 Pt 0.250 0.250 0.750

Largest 9 diffraction maxima, in order of rising 2θ, 2θ = 10–90°:
hkl, d_spacing, 2theta, I_rel
1 1 1, 3.949, 22.51, 16.8
2 2 0, 2.418, 37.18, 100.0
3 1 1, 2.062, 43.90, 9.3
4 0 0, 1.710, 53.59, 17.3
3 3 1, 1.569, 58.85, 4.1
4 2 2, 1.396, 67.03, 35.0
5 1 1, 1.316, 71.69, 3.2
4 4 0, 1.209, 79.22, 10.9
5 3 1, 1.156, 83.64, 3.3


No. 5
For GdCu4Ru, a PBE-relaxed structure gives the computed X-ray powder pattern in this record (CuKα).
Peak positions follow from Bragg's law for the DFT cell and can differ from measured ones.

a b c (Å): 7.067 7.067 7.067
angles (deg): 90.00 90.00 90.00
Space group F-43m (No. 216)
Unique sites:
1 Gd 0.000 0.000 0.000
2 Cu 0.124 0.124 0.624
3 Ru 0.250 0.250 0.250

Largest 10 diffraction maxima, in order of rising 2θ, 2θ = 10–90°:
hkl, d_spacing, 2theta, I_rel
1 1 1, 4.080, 21.78, 5.3
2 0 0, 3.533, 25.21, 2.9
2 2 0, 2.498, 35.95, 51.0
3 1 1, 2.131, 42.42, 100.0
2 2 2, 2.040, 44.41, 22.0
3 3 1, 1.621, 56.79, 1.7
4 2 2, 1.442, 64.61, 18.2
5 1 1, 1.360, 69.06, 29.8
4 4 0, 1.249, 76.21, 22.5
6 2 0, 1.117, 87.25, 8.1


No. 6
For Gd3CuSiS7, a PBE-relaxed structure gives the computed X-ray powder pattern in this record (CuKα).
Peak positions follow from Bragg's law for the DFT cell and can differ from measured ones.

a b c (Å): 10.0028 10.0028 5.7298
angles (deg): 90.00 90.00 120.00
Space group P6_3 (No. 173)
Unique sites:
1 Gd 0.1264 0.3568 0.0000
2 Cu 0.0000 0.0000 0.4647
3 Si 0.3333 0.6667 0.5880
4 S 0.0908 0.2552 0.4789
5 S 0.1085 0.5857 0.7357
6 S 0.3333 0.6667 0.2196

Largest 10 diffraction maxima, in order of rising 2θ, 2θ = 10–90°:
hkl, d_spacing, 2theta, I_rel
1 0 1, 4.779, 18.57, 30.8
1 1 1, 3.768, 23.61, 39.7
2 0 1, 3.455, 25.78, 100.0
1 2 0, 3.274, 27.24, 38.1
0 0 2, 2.865, 31.22, 30.0
2 2 0, 2.501, 35.91, 41.4
1 3 0, 2.403, 37.43, 49.9
3 1 1, 2.216, 40.72, 47.4
1 2 2, 2.156, 41.90, 48.8
1 3 2, 1.841, 49.51, 28.4


No. 7
For GdCuSe2, a PBE-relaxed structure gives the computed X-ray powder pattern in this record (CuKα).
Peak positions follow from Bragg's law for the DFT cell and can differ from measured ones.

a b c (Å): 6.663 7.382 7.134
angles (deg): 90.00 96.30 90.00
Space group P2_1/c (No. 14)
Unique sites:
1 Gd 0.195 0.044 0.299
2 Cu 0.427 0.659 0.455
3 Se 0.075 0.725 0.497
4 Se 0.402 0.112 0.719

Largest 10 diffraction maxima, in order of rising 2θ, 2θ = 10–90°:
hkl, d_spacing, 2theta, I_rel
1 1 1, 3.901, 22.79, 67.6
1 2 -1, 2.995, 29.83, 77.7
2 1 -1, 2.886, 30.99, 100.0
1 1 2, 2.773, 32.28, 54.8
0 2 2, 2.557, 35.10, 74.2
2 2 0, 2.465, 36.45, 35.1
1 3 0, 2.307, 39.05, 35.4
2 0 2, 2.298, 39.21, 26.1
0 1 3, 2.251, 40.05, 38.7
1 2 -3, 1.958, 46.38, 34.0


No. 8
For TbGdCuSn, a PBE-relaxed structure gives the computed X-ray powder pattern in this record (CuKα).
Peak positions follow from Bragg's law for the DFT cell and can differ from measured ones.

a b c (Å): 7.321 7.321 7.321
angles (deg): 90.00 90.00 90.00
Space group F-43m (No. 216)
Unique sites:
1 Tb 0.000 0.000 0.000
2 Gd 0.000 0.000 0.500
3 Cu 0.250 0.250 0.250
4 Sn 0.250 0.250 0.750

Largest 10 diffraction maxima, in order of rising 2θ, 2θ = 10–90°:
hkl, d_spacing, 2theta, I_rel
1 1 1, 4.227, 21.02, 2.4
2 0 0, 3.661, 24.31, 7.2
2 2 0, 2.589, 34.65, 100.0
3 1 1, 2.207, 40.88, 1.4
2 2 2, 2.114, 42.79, 2.2
4 0 0, 1.830, 49.82, 17.9
4 2 0, 1.637, 56.19, 3.0
4 2 2, 1.494, 62.11, 36.9
4 4 0, 1.294, 73.12, 11.4
6 2 0, 1.158, 83.51, 16.3